The following is a simulated XRD peak list of Na6Co2B4SO16. It was derived from DFT lattice parameters and positions (PBE+U), using Cu Ka.
Neutral-atom scattering factors, no anomalous dispersion.

Top 12 peaks for 10° ≤ 2θ ≤ 90°, sorted by position:
| 2θ/deg | I/Imax |
| --- | --- |
| 11.1 | 46 |
| 21.3 | 100 |
| 22.3 | 28 |
| 33.7 | 75 |
| 36.8 | 56 |
| 38.5 | 15 |
| 43.4 | 18 |
| 46.9 | 23 |
| 53.0 | 15 |
| 57.7 | 24 |
| 58.1 | 15 |
| 66.2 | 16 |

Cell: 9.7817 9.7817 9.7817 Å, 60.00 60.00 60.00°
Fractional positions:
Na  0.0933  0.0933  0.6567
Na  0.0933  0.6567  0.0933
Na  0.0933  0.6567  0.6567
Na  0.3433  0.3433  0.9067
Na  0.3433  0.9067  0.3433
Na  0.3433  0.9067  0.9067
Na  0.6567  0.0933  0.0933
Na  0.6567  0.0933  0.6567
Na  0.6567  0.6567  0.0933
Na  0.9067  0.3433  0.3433
Na  0.9067  0.3433  0.9067
Na  0.9067  0.9067  0.3433
Co  0.0000  0.5000  0.5000
Co  0.5000  0.0000  0.5000
Co  0.5000  0.5000  0.0000
Co  0.5000  0.5000  0.5000
B  0.2908  0.2908  0.2908
B  0.2908  0.2908  0.6277
B  0.2908  0.6277  0.2908
B  0.3723  0.7092  0.7092
B  0.6277  0.2908  0.2908
B  0.7092  0.3723  0.7092
B  0.7092  0.7092  0.3723
B  0.7092  0.7092  0.7092
S  0.1250  0.1250  0.1250
S  0.8750  0.8750  0.8750
O  0.0625  0.0625  0.0625
O  0.0625  0.0625  0.3125
O  0.0625  0.3125  0.0625
O  0.1329  0.3208  0.4091
O  0.1329  0.4091  0.6371
O  0.1329  0.6371  0.3208
O  0.3125  0.0625  0.0625
O  0.3208  0.1329  0.6371
O  0.3208  0.4091  0.1329
O  0.3208  0.6371  0.4091
O  0.3629  0.5909  0.6792
O  0.3629  0.6792  0.8671
O  0.3629  0.8671  0.5909
O  0.4091  0.1329  0.3208
O  0.4091  0.3208  0.6371
O  0.4091  0.6371  0.1329
O  0.5909  0.3629  0.8671
O  0.5909  0.6792  0.3629
O  0.5909  0.8671  0.6792
O  0.6371  0.1329  0.4091
O  0.6371  0.3208  0.1329
O  0.6371  0.4091  0.3208
O  0.6792  0.3629  0.5909
O  0.6792  0.5909  0.8671
O  0.6792  0.8671  0.3629
O  0.6875  0.9375  0.9375
O  0.8671  0.3629  0.6792
O  0.8671  0.5909  0.3629
O  0.8671  0.6792  0.5909
O  0.9375  0.6875  0.9375
O  0.9375  0.9375  0.6875
O  0.9375  0.9375  0.9375

The following is a simulated XRD peak list of LiNdW2O8. It was derived from DFT lattice parameters and positions (PBE+U), using Cu Ka.
Neutral-atom scattering factors, no anomalous dispersion.

Top 12 peaks for 10° ≤ 2θ ≤ 90°, sorted by position:
| 2θ/deg | I/Imax |
| --- | --- |
| 14.6 | 68 |
| 17.4 | 63 |
| 21.7 | 78 |
| 24.0 | 39 |
| 24.1 | 33 |
| 27.2 | 55 |
| 28.2 | 84 |
| 29.5 | 100 |
| 33.7 | 39 |
| 35.3 | 45 |
| 46.8 | 36 |
| 52.2 | 31 |

Cell: 7.2220 7.4493 7.5379 Å, 113.76 115.54 91.51°
Fractional positions:
Li  0.2494  0.3235  0.4902
Li  0.7506  0.6765  0.5098
Nd  0.3159  0.7125  0.0387
Nd  0.6841  0.2875  0.9613
W  0.1473  0.1045  0.7863
W  0.2382  0.7069  0.4702
W  0.7618  0.2931  0.5298
W  0.8527  0.8955  0.2137
O  0.0188  0.1723  0.4911
O  0.0524  0.4625  0.2488
O  0.1153  0.8282  0.2399
O  0.2069  0.0091  0.9831
O  0.3156  0.6354  0.6933
O  0.3217  0.3611  0.9389
O  0.3632  0.0107  0.6997
O  0.4574  0.6957  0.4072
O  0.5426  0.3043  0.5928
O  0.6368  0.9893  0.3003
O  0.6783  0.6389  0.0611
O  0.6844  0.3646  0.3067
O  0.7931  0.9910  0.0169
O  0.8847  0.1718  0.7601
O  0.9476  0.5375  0.7512
O  0.9812  0.8277  0.5089

The following is a simulated XRD peak list of SrV5NiO11. It was derived from DFT lattice parameters and positions (PBE+U), using Cu Ka.
Neutral-atom scattering factors, no anomalous dispersion.

Top 12 peaks for 10° ≤ 2θ ≤ 90°, sorted by position:
| 2θ/deg | I/Imax |
| --- | --- |
| 25.5 | 37 |
| 30.7 | 47 |
| 31.2 | 93 |
| 33.4 | 100 |
| 38.0 | 47 |
| 40.7 | 34 |
| 53.6 | 73 |
| 54.9 | 43 |
| 56.3 | 21 |
| 64.0 | 41 |
| 75.5 | 16 |
| 88.1 | 15 |

Cell: 5.8207 5.8207 13.9720 Å, 90.00 90.00 120.00°
Fractional positions:
Sr  0.3333  0.6667  0.2500
Sr  0.6667  0.3333  0.7500
V  0.0000  0.0000  0.1503
V  0.0000  0.0000  0.3497
V  0.0000  0.0000  0.6503
V  0.0000  0.0000  0.8497
V  0.0000  0.5000  0.0000
V  0.0000  0.5000  0.5000
V  0.5000  0.0000  0.0000
V  0.5000  0.0000  0.5000
V  0.5000  0.5000  0.0000
V  0.5000  0.5000  0.5000
Ni  0.3333  0.6667  0.7500
Ni  0.6667  0.3333  0.2500
O  0.1482  0.2963  0.7500
O  0.1482  0.8518  0.7500
O  0.1739  0.3477  0.0767
O  0.1739  0.3477  0.4233
O  0.1739  0.8261  0.0767
O  0.1739  0.8261  0.4233
O  0.2963  0.1482  0.2500
O  0.3333  0.6667  0.5740
O  0.3333  0.6667  0.9260
O  0.3477  0.1739  0.5767
O  0.3477  0.1739  0.9233
O  0.6523  0.8261  0.0767
O  0.6523  0.8261  0.4233
O  0.6667  0.3333  0.0740
O  0.6667  0.3333  0.4260
O  0.7037  0.8518  0.7500
O  0.8261  0.1739  0.5767
O  0.8261  0.1739  0.9233
O  0.8261  0.6523  0.5767
O  0.8261  0.6523  0.9233
O  0.8518  0.1482  0.2500
O  0.8518  0.7037  0.2500

The following is a simulated XRD peak list of Li9Mn2Co5O16. It was derived from DFT lattice parameters and positions (PBE+U), using Cu Ka.
Neutral-atom scattering factors, no anomalous dispersion.

Top 12 peaks for 10° ≤ 2θ ≤ 90°, sorted by position:
| 2θ/deg | I/Imax |
| --- | --- |
| 18.4 | 100 |
| 34.3 | 21 |
| 36.4 | 12 |
| 37.0 | 11 |
| 41.2 | 35 |
| 44.2 | 27 |
| 45.1 | 25 |
| 61.8 | 8 |
| 62.3 | 8 |
| 62.7 | 8 |
| 62.8 | 8 |
| 64.2 | 9 |

Cell: 3.0091 9.9595 10.0818 Å, 106.77 91.53 93.04°
Fractional positions:
Li  0.0000  0.0000  0.0000
Li  0.0030  0.2500  0.7540
Li  0.0063  0.2516  0.2433
Li  0.4936  0.5015  0.7502
Li  0.4967  0.0025  0.7565
Li  0.5033  0.9975  0.2434
Li  0.5064  0.4985  0.2498
Li  0.9937  0.7484  0.7567
Li  0.9970  0.7500  0.2460
Mn  0.4987  0.7508  0.5015
Mn  0.5013  0.2492  0.4985
Co  0.0000  0.0000  0.5000
Co  0.0000  0.5000  0.0000
Co  0.0000  0.5000  0.5000
Co  0.4994  0.2406  0.9986
Co  0.5006  0.7594  0.0014
O  0.0146  0.1348  0.8853
O  0.0267  0.1240  0.3829
O  0.0286  0.6242  0.3844
O  0.0297  0.6219  0.8859
O  0.4689  0.1217  0.6129
O  0.4710  0.6210  0.6138
O  0.4902  0.3713  0.8897
O  0.4953  0.1422  0.1158
O  0.5047  0.8578  0.8842
O  0.5098  0.6287  0.1103
O  0.5290  0.3790  0.3862
O  0.5311  0.8783  0.3871
O  0.9703  0.3781  0.1141
O  0.9714  0.3758  0.6156
O  0.9733  0.8760  0.6171
O  0.9854  0.8652  0.1147

The following is a simulated XRD peak list of Sr2NiClO3. It was derived from DFT lattice parameters and positions (PBE+U), using Cu Ka.
Neutral-atom scattering factors, no anomalous dispersion.

Top 12 peaks for 10° ≤ 2θ ≤ 90°, sorted by position:
| 2θ/deg | I/Imax |
| --- | --- |
| 12.1 | 29 |
| 29.3 | 29 |
| 32.4 | 92 |
| 33.6 | 100 |
| 38.4 | 24 |
| 40.9 | 26 |
| 46.5 | 50 |
| 55.5 | 11 |
| 58.5 | 39 |
| 61.8 | 12 |
| 67.8 | 15 |
| 77.2 | 14 |

Cell: 3.9084 3.9084 14.6324 Å, 90.00 90.00 90.00°
Fractional positions:
Sr  0.2500  0.2500  0.0952
Sr  0.2500  0.2500  0.3408
Sr  0.7500  0.7500  0.6592
Sr  0.7500  0.7500  0.9048
Ni  0.2500  0.2500  0.7928
Ni  0.7500  0.7500  0.2072
Cl  0.2500  0.2500  0.5782
Cl  0.7500  0.7500  0.4218
O  0.2500  0.2500  0.9266
O  0.2500  0.7500  0.2274
O  0.2500  0.7500  0.7726
O  0.7500  0.2500  0.2274
O  0.7500  0.2500  0.7726
O  0.7500  0.7500  0.0734

The following is a simulated XRD peak list of Na3VO3. It was derived from DFT lattice parameters and positions (PBE+U), using Cu Ka.
Neutral-atom scattering factors, no anomalous dispersion.

Top 12 peaks for 10° ≤ 2θ ≤ 90°, sorted by position:
| 2θ/deg | I/Imax |
| --- | --- |
| 16.6 | 48 |
| 21.4 | 100 |
| 32.0 | 21 |
| 32.6 | 23 |
| 33.0 | 43 |
| 33.6 | 81 |
| 40.0 | 17 |
| 41.8 | 40 |
| 45.8 | 26 |
| 46.7 | 24 |
| 47.4 | 45 |
| 64.4 | 17 |

Cell: 6.1640 10.6877 6.3102 Å, 90.00 92.51 90.00°
Fractional positions:
Na  0.0204  0.2137  0.0175
Na  0.0204  0.2863  0.5175
Na  0.1478  0.5095  0.8657
Na  0.1478  0.9905  0.3657
Na  0.4566  0.2213  0.3923
Na  0.4566  0.2787  0.8923
Na  0.5434  0.7213  0.1077
Na  0.5434  0.7787  0.6077
Na  0.8522  0.0095  0.6343
Na  0.8522  0.4905  0.1343
Na  0.9796  0.7137  0.4825
Na  0.9796  0.7863  0.9825
V  0.3334  0.5049  0.3237
V  0.3334  0.9951  0.8237
V  0.6666  0.0049  0.1763
V  0.6666  0.4951  0.6763
O  0.1853  0.6412  0.1956
O  0.1853  0.8588  0.6956
O  0.2362  0.1344  0.6674
O  0.2362  0.3656  0.1674
O  0.3627  0.0607  0.1188
O  0.3627  0.4393  0.6188
O  0.6373  0.5607  0.3812
O  0.6373  0.9393  0.8812
O  0.7638  0.6344  0.8326
O  0.7638  0.8656  0.3326
O  0.8147  0.1412  0.3044
O  0.8147  0.3588  0.8044

Question: What is the formula in the fifth record?
Answer: Sr2NiClO3